Nd3TlBi2: simulated powder diffraction line list (Cu Kα), based on a structure optimized by DFT (PBE).
Kinematic intensities with the Lorentz-polarization factor, no thermal factor.

Cell and atoms:
```
data_Nd3TlBi2
_chemical_formula_sum 'Nd6 Tl2 Bi4'
_symmetry_space_group_name_H-M 'I m m m'
_symmetry_Int_Tables_number 71
_symmetry_space_group_name_Hall '-I 2 2'
_cell_length_a 4.5224
_cell_length_b 6.4771
_cell_length_c 14.0233
_cell_angle_alpha 90.00
_cell_angle_beta 90.00
_cell_angle_gamma 90.00
loop_
_atom_site_label
_atom_site_type_symbol
_atom_site_fract_x
_atom_site_fract_y
_atom_site_fract_z
Nd1 Nd 0.0000 0.0000 0.0000
Nd2 Nd 0.0000 0.0000 0.3275
Tl1 Tl 0.0000 0.5000 0.0000
Bi1 Bi 0.0000 0.5000 0.3343
```

Largest 10 diffraction maxima, by angle, 2θ = 15–90°:
2θ/deg, Rel. int.
27.44, 1000
27.54, 497
38.52, 204
39.27, 781
39.87, 188
48.00, 219
49.14, 208
64.11, 186
64.27, 187
70.19, 141



Nd4TlBi5: simulated powder diffraction line list (Cu Kα), based on a structure optimized by DFT (PBE).
Kinematic intensities with the Lorentz-polarization factor, no thermal factor.

Cell and atoms:
```
data_Nd4TlBi5
_chemical_formula_sum 'Nd8 Tl2 Bi10'
_symmetry_space_group_name_H-M 'I m m m'
_symmetry_Int_Tables_number 71
_symmetry_space_group_name_Hall '-I 2 2'
_cell_length_a 4.5164
_cell_length_b 11.5769
_cell_length_c 12.6182
_cell_angle_alpha 90.00
_cell_angle_beta 90.00
_cell_angle_gamma 90.00
loop_
_atom_site_label
_atom_site_type_symbol
_atom_site_fract_x
_atom_site_fract_y
_atom_site_fract_z
Nd1 Nd 0.0000 0.0000 0.2458
Nd2 Nd 0.0000 0.2915 0.5000
Tl1 Tl 0.0000 0.0000 0.5000
Bi1 Bi 0.0000 0.0000 0.0000
Bi2 Bi 0.0000 0.3231 0.1644
```

Largest 10 diffraction maxima, by angle, 2θ = 15–90°:
2θ/deg, Rel. int.
29.01, 495
30.47, 1000
31.46, 334
32.32, 151
32.96, 303
35.57, 307
39.92, 274
42.38, 129
51.69, 170
53.62, 187



NdTlBi3: simulated powder diffraction line list (Cu Kα), based on a structure optimized by DFT (PBE).
Kinematic intensities with the Lorentz-polarization factor, no thermal factor.

Cell and atoms:
```
data_NdTlBi3
_chemical_formula_sum 'Nd2 Tl2 Bi6'
_symmetry_space_group_name_H-M 'P 1 21/m 1'
_symmetry_Int_Tables_number 11
_symmetry_space_group_name_Hall '-P 2yb'
_cell_length_a 8.8912
_cell_length_b 4.3267
_cell_length_c 9.7917
_cell_angle_alpha 90.00
_cell_angle_beta 112.17
_cell_angle_gamma 90.00
loop_
_atom_site_label
_atom_site_type_symbol
_atom_site_fract_x
_atom_site_fract_y
_atom_site_fract_z
Nd1 Nd 0.1775 0.2500 0.3150
Tl1 Tl 0.4970 0.2500 0.1208
Bi1 Bi 0.0874 0.2500 0.9420
Bi2 Bi 0.1328 0.7500 0.5710
Bi3 Bi 0.4915 0.7500 0.3733
```

Largest 10 diffraction maxima, by angle, 2θ = 15–90°:
2θ/deg, Rel. int.
21.58, 357
27.73, 847
28.84, 421
31.06, 476
32.63, 451
33.16, 1000
36.84, 353
41.75, 410
53.97, 222
59.87, 292



Nd3TmBi4: simulated powder diffraction line list (Cu Kα), based on a structure optimized by DFT (PBE).
Kinematic intensities with the Lorentz-polarization factor, no thermal factor.

Cell and atoms:
```
data_Nd3TmBi4
_chemical_formula_sum 'Nd6 Tm2 Bi8'
_symmetry_space_group_name_H-M 'C m m m'
_symmetry_Int_Tables_number 65
_symmetry_space_group_name_Hall '-C 2 2'
_cell_length_a 9.1286
_cell_length_b 12.9188
_cell_length_c 4.5714
_cell_angle_alpha 90.00
_cell_angle_beta 90.00
_cell_angle_gamma 90.00
loop_
_atom_site_label
_atom_site_type_symbol
_atom_site_fract_x
_atom_site_fract_y
_atom_site_fract_z
Nd1 Nd 0.0000 0.0000 0.0000
Nd2 Nd 0.2500 0.2500 0.5000
Tm1 Tm 0.0000 0.5000 0.0000
Bi1 Bi 0.0000 0.2541 0.0000
Bi2 Bi 0.2420 0.5000 0.5000
```

Largest 10 diffraction maxima, by angle, 2θ = 15–90°:
2θ/deg, Rel. int.
23.86, 44
27.62, 1000
39.46, 784
46.63, 25
48.84, 285
57.03, 135
64.51, 374
71.56, 277
84.91, 76
85.00, 15



NdTm2Bi3: simulated powder diffraction line list (Cu Kα), based on a structure optimized by DFT (PBE).
Kinematic intensities with the Lorentz-polarization factor, no thermal factor.

Cell and atoms:
```
data_NdTm2Bi3
_chemical_formula_sum 'Nd2 Tm4 Bi6'
_symmetry_space_group_name_H-M 'I m m m'
_symmetry_Int_Tables_number 71
_symmetry_space_group_name_Hall '-I 2 2'
_cell_length_a 4.4934
_cell_length_b 6.3653
_cell_length_c 13.4707
_cell_angle_alpha 90.00
_cell_angle_beta 90.00
_cell_angle_gamma 90.00
loop_
_atom_site_label
_atom_site_type_symbol
_atom_site_fract_x
_atom_site_fract_y
_atom_site_fract_z
Nd1 Nd 0.0000 0.0000 0.0000
Tm1 Tm 0.0000 0.0000 0.3356
Bi1 Bi 0.0000 0.5000 0.0000
Bi2 Bi 0.0000 0.5000 0.3266
```

Largest 10 diffraction maxima, by angle, 2θ = 15–90°:
2θ/deg, Rel. int.
28.07, 1000
40.12, 780
49.68, 282
57.95, 45
58.08, 88
65.68, 310
65.76, 59
72.88, 185
72.95, 88
86.61, 76



NdTm2Bi2: simulated powder diffraction line list (Cu Kα), based on a structure optimized by DFT (PBE).
Kinematic intensities with the Lorentz-polarization factor, no thermal factor.

Cell and atoms:
```
data_NdTm2Bi2
_chemical_formula_sum 'Nd2 Tm4 Bi4'
_symmetry_space_group_name_H-M 'C 1 2/m 1'
_symmetry_Int_Tables_number 12
_symmetry_space_group_name_Hall '-C 2y'
_cell_length_a 6.3996
_cell_length_b 6.4108
_cell_length_c 8.2280
_cell_angle_alpha 90.00
_cell_angle_beta 112.66
_cell_angle_gamma 90.00
loop_
_atom_site_label
_atom_site_type_symbol
_atom_site_fract_x
_atom_site_fract_y
_atom_site_fract_z
Nd1 Nd 0.0000 0.0000 0.0000
Tm1 Tm 0.0000 0.2503 0.5000
Bi1 Bi 0.1063 0.5000 0.2098
```

Largest 10 diffraction maxima, by angle, 2θ = 15–90°:
2θ/deg, Rel. int.
20.46, 243
26.40, 393
30.29, 1000
35.52, 404
35.64, 295
36.68, 410
39.81, 567
54.43, 246
66.40, 159
68.32, 169



Nd5TmBi5: simulated powder diffraction line list (Cu Kα), based on a structure optimized by DFT (PBE).
Kinematic intensities with the Lorentz-polarization factor, no thermal factor.

Cell and atoms:
```
data_Nd5TmBi5
_chemical_formula_sum 'Nd10 Tm2 Bi10'
_symmetry_space_group_name_H-M 'C 1 2/m 1'
_symmetry_Int_Tables_number 12
_symmetry_space_group_name_Hall '-C 2y'
_cell_length_a 14.3295
_cell_length_b 6.4304
_cell_length_c 9.0510
_cell_angle_alpha 90.00
_cell_angle_beta 108.74
_cell_angle_gamma 90.00
loop_
_atom_site_label
_atom_site_type_symbol
_atom_site_fract_x
_atom_site_fract_y
_atom_site_fract_z
Nd1 Nd 0.0000 0.0000 0.0000
Nd2 Nd 0.1626 0.5000 0.3272
Nd3 Nd 0.1705 0.5000 0.8342
Tm1 Tm 0.0000 0.0000 0.5000
Bi1 Bi 0.0000 0.5000 0.5000
Bi2 Bi 0.1635 0.0000 0.8281
Bi3 Bi 0.1655 0.0000 0.3382
```

Largest 10 diffraction maxima, by angle, 2θ = 15–90°:
2θ/deg, Rel. int.
27.78, 1000
27.97, 489
39.69, 391
39.83, 772
49.25, 422
64.87, 100
64.96, 188
65.32, 181
72.10, 207
72.40, 134



NdY4Bi5: simulated powder diffraction line list (Cu Kα), based on a structure optimized by DFT (PBE).
Kinematic intensities with the Lorentz-polarization factor, no thermal factor.

Cell and atoms:
```
data_NdY4Bi5
_chemical_formula_sum 'Nd2 Y8 Bi10'
_symmetry_space_group_name_H-M 'I m m m'
_symmetry_Int_Tables_number 71
_symmetry_space_group_name_Hall '-I 2 2'
_cell_length_a 4.5082
_cell_length_b 6.3784
_cell_length_c 22.5317
_cell_angle_alpha 90.00
_cell_angle_beta 90.00
_cell_angle_gamma 90.00
loop_
_atom_site_label
_atom_site_type_symbol
_atom_site_fract_x
_atom_site_fract_y
_atom_site_fract_z
Nd1 Nd 0.0000 0.0000 0.0000
Y1 Y 0.0000 0.0000 0.2016
Y2 Y 0.0000 0.0000 0.3999
Bi1 Bi 0.0000 0.5000 0.0000
Bi2 Bi 0.0000 0.5000 0.1994
Bi3 Bi 0.0000 0.5000 0.3969
```

Largest 10 diffraction maxima, by angle, 2θ = 15–90°:
2θ/deg, Rel. int.
24.18, 210
27.99, 1000
40.00, 777
47.29, 119
49.53, 281
57.85, 133
63.61, 52
65.47, 367
72.65, 272
86.31, 90



NdYBi2: simulated powder diffraction line list (Cu Kα), based on a structure optimized by DFT (PBE).
Kinematic intensities with the Lorentz-polarization factor, no thermal factor.

Cell and atoms:
```
data_NdYBi2
_chemical_formula_sum 'Nd3 Y3 Bi6'
_symmetry_space_group_name_H-M 'R 3 m'
_symmetry_Int_Tables_number 160
_symmetry_space_group_name_Hall 'R 3 -2"'
_cell_length_a 4.5163
_cell_length_b 4.5163
_cell_length_c 23.1575
_cell_angle_alpha 90.00
_cell_angle_beta 90.00
_cell_angle_gamma 120.00
loop_
_atom_site_label
_atom_site_type_symbol
_atom_site_fract_x
_atom_site_fract_y
_atom_site_fract_z
Nd1 Nd 0.0000 0.0000 0.0000
Y1 Y 0.0000 0.0000 0.8291
Bi1 Bi 0.0000 0.0000 0.4155
Bi2 Bi 0.0000 0.0000 0.5800
```

Largest 10 diffraction maxima, by angle, 2θ = 15–90°:
2θ/deg, Rel. int.
23.06, 273
24.02, 567
29.90, 1000
35.54, 641
39.92, 641
47.11, 229
50.67, 235
54.51, 191
63.41, 410
66.38, 211



Nd5ZnBi2: simulated powder diffraction line list (Cu Kα), based on a structure optimized by DFT (PBE).
Kinematic intensities with the Lorentz-polarization factor, no thermal factor.

Cell and atoms:
```
data_Nd5ZnBi2
_chemical_formula_sum 'Nd20 Zn4 Bi8'
_symmetry_space_group_name_H-M 'C m c m'
_symmetry_Int_Tables_number 63
_symmetry_space_group_name_Hall '-C 2c 2'
_cell_length_a 6.0198
_cell_length_b 12.0437
_cell_length_c 14.4864
_cell_angle_alpha 90.00
_cell_angle_beta 90.00
_cell_angle_gamma 90.00
loop_
_atom_site_label
_atom_site_type_symbol
_atom_site_fract_x
_atom_site_fract_y
_atom_site_fract_z
Nd1 Nd 0.0000 0.0744 0.1071
Nd2 Nd 0.0000 0.3747 0.0536
Nd3 Nd 0.0000 0.4143 0.7500
Zn1 Zn 0.0000 0.2876 0.2500
Bi1 Bi 0.0000 0.1952 0.6186
```

Largest 10 diffraction maxima, by angle, 2θ = 15–90°:
2θ/deg, Rel. int.
23.62, 142
29.70, 1000
30.32, 265
32.60, 705
35.16, 206
36.60, 136
42.94, 207
54.54, 164
61.63, 156
62.60, 114



NdZrBi3: simulated powder diffraction line list (Cu Kα), based on a structure optimized by DFT (PBE).
Kinematic intensities with the Lorentz-polarization factor, no thermal factor.

Cell and atoms:
```
data_NdZrBi3
_chemical_formula_sum 'Nd4 Zr4 Bi12'
_symmetry_space_group_name_H-M 'P b c m'
_symmetry_Int_Tables_number 57
_symmetry_space_group_name_Hall '-P 2c 2b'
_cell_length_a 13.7737
_cell_length_b 6.6541
_cell_length_c 6.5712
_cell_angle_alpha 90.00
_cell_angle_beta 90.00
_cell_angle_gamma 90.00
loop_
_atom_site_label
_atom_site_type_symbol
_atom_site_fract_x
_atom_site_fract_y
_atom_site_fract_z
Nd1 Nd 0.1829 0.0133 0.2500
Zr1 Zr 0.4063 0.7500 0.0000
Bi1 Bi 0.0039 0.7500 0.0000
Bi2 Bi 0.2574 0.5092 0.2500
Bi3 Bi 0.4205 0.1238 0.2500
```

Largest 10 diffraction maxima, by angle, 2θ = 15–90°:
2θ/deg, Rel. int.
27.21, 957
29.82, 1000
30.13, 842
32.29, 557
32.50, 399
33.26, 285
33.54, 307
38.51, 742
51.28, 369
64.20, 336



NiBi: simulated powder diffraction line list (Cu Kα), based on a structure optimized by DFT (PBE).
Kinematic intensities with the Lorentz-polarization factor, no thermal factor.

Cell and atoms:
```
data_NiBi
_chemical_formula_sum 'Ni2 Bi2'
_symmetry_space_group_name_H-M 'P 63/m m c'
_symmetry_Int_Tables_number 194
_symmetry_space_group_name_Hall '-P 6c 2c'
_cell_length_a 4.1855
_cell_length_b 4.1855
_cell_length_c 5.2351
_cell_angle_alpha 90.00
_cell_angle_beta 90.00
_cell_angle_gamma 120.00
loop_
_atom_site_label
_atom_site_type_symbol
_atom_site_fract_x
_atom_site_fract_y
_atom_site_fract_z
Ni1 Ni 0.0000 0.0000 0.0000
Bi1 Bi 0.3333 0.6667 0.2500
```

Largest 10 diffraction maxima, by angle, 2θ = 15–90°:
2θ/deg, Rel. int.
29.98, 1000
42.60, 346
43.23, 434
53.51, 206
56.28, 117
58.72, 157
62.31, 111
71.13, 181
78.86, 113
88.01, 119